Record 1
Simulated X-ray powder pattern of HfTi4Nb4 for λ = 1.5418 Å (Cu Kα), from DFT lattice parameters and positions (PBE).
Lines closer than 0.1° are merged.

Cell and atoms:
```
data_HfTi4Nb4
_cell_length_a 5.927
_cell_length_b 5.927
_cell_length_c 10.041
_cell_angle_alpha 90.00
_cell_angle_beta 90.00
_cell_angle_gamma 90.00
_space_group_name_H-M_alt 'P 42/n m c'
_space_group_IT_number 137
loop_
_space_group_symop_operation_xyz
'x,y,z'
'-x,-y,-z'
'-y+1/2,x,z+1/2'
'y+1/2,-x,-z+1/2'
'-x+1/2,-y+1/2,z'
'x+1/2,y+1/2,-z'
'y,-x+1/2,z+1/2'
'-y,x+1/2,-z+1/2'
'x+1/2,-y,-z'
'-x+1/2,y,z'
'-y,-x,-z+1/2'
'y,x,z+1/2'
'-x,y+1/2,-z'
'x,-y+1/2,z'
'y+1/2,x+1/2,-z+1/2'
'-y+1/2,-x+1/2,z+1/2'
loop_
_atom_site_label
_atom_site_fract_x
_atom_site_fract_y
_atom_site_fract_z
_atom_site_occupancy
Hf1 0.250 0.750 0.250 1
Ti1 0.022 0.250 0.032 1
Nb1 0.032 0.250 0.321 1
```

Largest 6 diffraction maxima, by angle, 2θ = 10–80°:
- (0 0 2), 17.67 deg, 5.021 Å, intensity 25.2
- (1 0 2), 23.22 deg, 3.831 Å, intensity 17.9
- (1 0 3), 30.68 deg, 2.915 Å, intensity 16.1
- (2 1 1), 35.01 deg, 2.563 Å, intensity 100.0
- (1 0 4), 38.96 deg, 2.312 Å, intensity 22.1
- (2 0 3), 40.66 deg, 2.219 Å, intensity 55.7


Record 2
Simulated X-ray powder pattern of CsKAg2Cl4 for λ = 1.5418 Å (Cu Kα), from DFT lattice parameters and positions (PBE).
Lines closer than 0.1° are merged.

Cell and atoms:
```
data_CsKAg2Cl4
_cell_length_a 7.686
_cell_length_b 8.077
_cell_length_c 8.708
_cell_angle_alpha 90.00
_cell_angle_beta 90.00
_cell_angle_gamma 90.00
_space_group_name_H-M_alt 'I 2 2 2'
_space_group_IT_number 23
loop_
_space_group_symop_operation_xyz
'x,y,z'
'-x,-y,z'
'x,-y,-z'
'-x,y,-z'
'x+1/2,y+1/2,z+1/2'
'-x+1/2,-y+1/2,z+1/2'
'x+1/2,-y+1/2,-z+1/2'
'-x+1/2,y+1/2,-z+1/2'
loop_
_atom_site_label
_atom_site_fract_x
_atom_site_fract_y
_atom_site_fract_z
_atom_site_occupancy
Cs1 0.000 0.000 0.000 1
K1 0.000 0.000 0.500 1
Ag1 0.000 0.500 0.184 1
Cl1 0.234 0.307 0.797 1
```

Largest 6 diffraction maxima, by angle, 2θ = 10–80°:
- (1 0 1), 15.38 deg, 5.762 Å, intensity 49.7
- (0 2 0), 22.01 deg, 4.038 Å, intensity 26.1
- (1 1 2), 25.98 deg, 3.430 Å, intensity 100.0
- (1 2 1), 26.96 deg, 3.307 Å, intensity 31.1
- (2 2 0), 32.15 deg, 2.784 Å, intensity 63.5
- (0 1 3), 32.79 deg, 2.732 Å, intensity 27.6